Entry 1:
Simulated powder X-ray diffraction pattern
Compound: DyLuMnAu
Radiation: Cu Kα X-rays
Structure: the GGA-PBE geometry in Alexandria
No peak broadening, texture or thermal motion is included.

Cell: 7.0824 7.0824 7.0824 Å, 90.00 90.00 90.00°
Space group F-43m (No. 216)
Unique sites:
Dy: 0.0000 0.0000 0.0000 x4
Lu: 0.0000 0.0000 0.5000 x4
Mn: 0.2500 0.2500 0.7500 x4
Au: 0.2500 0.2500 0.2500 x4

Main lines, in order of falling intensity (5° ≤ 2θ ≤ 70°):
h k l  Position (°2θ)  I (rel.)
2 2 0  35.86  100
4 2 2  64.45  36
4 0 0  51.62  18
1 1 1  21.73  13
3 1 1  42.33  8
3 3 1  56.65  3
5 1 1  68.89  3
2 0 0  25.15  2
4 2 0  58.26  1
2 2 2  44.30  1

Entry 2:
Simulated powder X-ray diffraction pattern
Compound: La2YThS4
Radiation: Cu Kα X-rays
Structure: the GGA-PBE geometry in Alexandria
No peak broadening, texture or thermal motion is included.

Cell: 7.0535 4.0470 7.0612 Å, 90.00 109.24 90.00°
Space group P2/m (No. 10)
Unique sites:
La: 0.0000 0.0000 0.0000 x1
La: 0.0000 0.5000 0.5000 x1
Y: 0.5000 0.0000 0.5000 x1
Th: 0.5000 0.5000 0.0000 x1
S: 0.2614 0.0000 0.7473 x2
S: 0.2659 0.5000 0.2610 x2

Main lines, in order of falling intensity (5° ≤ 2θ ≤ 70°):
h k l  Position (°2θ)  I (rel.)
1 1 1  31.10  100
1 1 -3  44.55  48
2 0 0  26.76  38
1 1 -1  26.93  37
3 1 1  52.66  16
0 0 4  55.14  13
2 2 0  52.94  13
2 2 -2  55.52  13
2 0 2  44.34  12
0 2 0  44.79  12

Entry 3:
Simulated powder X-ray diffraction pattern
Compound: Tb3Pr2Nd4
Radiation: Cu Kα X-rays
Structure: the GGA-PBE geometry in Alexandria
No peak broadening, texture or thermal motion is included.

Cell: 3.6529 3.6529 27.2049 Å, 90.00 90.00 120.00°
Space group P3m1 (No. 156)
Unique sites:
Tb: 0.0000 0.0000 0.0000 x1
Tb: 0.0000 0.0000 0.3418 x1
Tb: 0.6667 0.3333 0.6698 x1
Pr: 0.6667 0.3333 0.1055 x1
Pr: 0.6667 0.3333 0.8904 x1
Nd: 0.0000 0.0000 0.5621 x1
Nd: 0.0000 0.0000 0.7773 x1
Nd: 0.6667 0.3333 0.2373 x1
Nd: 0.6667 0.3333 0.4505 x1

Main lines, in order of falling intensity (5° ≤ 2θ ≤ 70°):
h k l  Position (°2θ)  I (rel.)
0 1 5  32.75  100
0 1 4  31.18  61
0 0 9  29.55  47
1 0 0  28.21  45
1 1 9  59.10  40
1 1 0  49.93  36
0 1 14  55.50  32
1 0 9  41.31  29
2 0 5  61.00  17
0 1 3  29.91  10